Tb3Pm2Dy9: simulated powder XRD pattern (Cu Kα), based on a cell relaxed with PBE.
No peak broadening, texture or thermal motion is included.

Largest 12 diffraction maxima, low angle first, 2θ from 5° to 70°:
2θ/deg  I/Imax  (hkl)
30.17  458  0 2 2
31.38  475  2 2 1
31.56  807  1 2 -2
31.85  740  1 -2 1
32.29  459  1 0 3
32.36  1000  2 0 -1
32.58  206  2 1 2
33.25  270  1 3 1
53.47  165  2 3 4
56.07  179  0 4 -3
57.57  168  3 -2 0
63.41  208  3 5 2

Structural model:
Lattice parameters (Å, degrees): 6.437 8.399 8.897 87.36 83.03 71.00
Sites, in units of the cell vectors:
Tb  0.000  0.000  0.000
Tb  0.160  0.301  0.369
Tb  0.833  0.795  0.710
Pm  0.479  0.704  0.961
Pm  0.619  0.350  0.158
Dy  0.024  0.559  0.042
Dy  0.128  0.757  0.337
Dy  0.285  0.949  0.621
Dy  0.316  0.514  0.666
Dy  0.438  0.162  0.884
Dy  0.558  0.950  0.221
Dy  0.681  0.598  0.421
Dy  0.708  0.148  0.498
Dy  0.874  0.356  0.753